# 1
For Fe5Co3, a DFT-relaxed cell (PBE, Alexandria) gives the calculated powder X-ray diffraction pattern in this record (Cu Ka).
Peak positions follow from Bragg's law for the DFT cell and can differ from measured ones.

Principal peaks in the range 2θ = 10–80°, low angle first:
h k l  2θ/deg  intensity
1 1 1  44.97  1000
2 1 -1  45.11  495
1 -1 3  65.37  74
1 3 -1  65.59  73
-3 1 1  65.72  73

Structural model:
Lattice parameters (Å, degrees): 4.715 4.728 4.728 117.16 94.89 95.38
Space group P-1 (No. 2)
One atom of each set of equivalent atoms:
Fe 0.000 0.000 0.000 x1
Fe 0.251 0.626 0.128 x2
Fe 0.498 0.752 0.748 x2
Co 0.000 0.500 0.500 x1
Co 0.251 0.126 0.627 x2

---

# 2
For Fe11Co5, a DFT-relaxed cell (PBE, Alexandria) gives the calculated powder X-ray diffraction pattern in this record (Cu Ka).
Peak positions follow from Bragg's law for the DFT cell and can differ from measured ones.

Principal peaks in the range 2θ = 10–80°, low angle first:
h k l  2θ/deg  intensity
2 2 0  45.04  1000
4 0 0  65.50  98
0 0 4  65.77  49

Structural model:
Lattice parameters (Å, degrees): 5.700 5.700 5.679 90.00 90.00 90.00
Space group P4/mmm (No. 123)
One atom of each set of equivalent atoms:
Fe 0.000 0.000 0.000 x1
Fe 0.000 0.000 0.500 x1
Fe 0.250 0.250 0.250 x8
Fe 0.500 0.500 0.000 x1
Co 0.000 0.500 0.000 x2
Co 0.000 0.500 0.500 x2
Co 0.500 0.500 0.500 x1

---

# 3
For Fe5Co3, a DFT-relaxed cell (PBE, Alexandria) gives the calculated powder X-ray diffraction pattern in this record (Cu Ka).
Peak positions follow from Bragg's law for the DFT cell and can differ from measured ones.

Principal peaks in the range 2θ = 10–80°, low angle first:
h k l  2θ/deg  intensity
1 1 1  44.99  506
0 2 0  45.16  1000
1 0 5  65.46  74
1 2 -3  65.81  147

Structural model:
Lattice parameters (Å, degrees): 2.467 4.015 9.309 90.00 94.71 90.00
Space group Pm (No. 6)
One atom of each set of equivalent atoms:
Fe 0.000 0.000 0.000 x1
Fe 0.114 0.500 0.375 x1
Fe 0.374 0.500 0.125 x1
Fe 0.498 0.000 0.502 x1
Fe 0.621 0.500 0.873 x1
Co 0.255 0.000 0.751 x1
Co 0.747 0.000 0.251 x1
Co 0.861 0.500 0.623 x1